Entry 1:
Diffraction record for Dy7Er3Tm. The X-ray diffraction stick pattern is computed, not measured: it uses the PBE geometry in Alexandria and CuKα.
Neutral-atom scattering factors, no anomalous dispersion.

Peak list (10 most intense, 10 to 80 degrees two-theta, by angle)
2θ/deg  I_rel  hkl
32.1  100  2 1 0
32.1  54  2 1 -2
32.4  34  2 0 1
32.7  53  0 2 0
33.5  55  0 1 3
46.7  25  2 2 1
58.0  26  2 3 0
58.9  18  0 3 3
63.6  14  4 2 -2
64.1  15  4 1 1

Crystal structure
Cell lengths 6.9164, 5.4767, 9.8194 Å; angles 90.00, 110.54, 90.00 degrees
Space group P2/m (No. 10)
Unique sites:
1 Dy 0.0000 0.0000 0.0000 x1
2 Dy 0.1459 0.5000 0.2914 x2
3 Dy 0.3207 0.5000 0.6405 x2
4 Dy 0.4156 0.0000 0.8301 x2
5 Er 0.0000 0.0000 0.5000 x1
6 Er 0.2795 0.5000 0.9996 x2
7 Tm 0.5000 0.0000 0.5000 x1

Entry 2:
Diffraction record for Ac2ZnCdPd6. The X-ray diffraction stick pattern is computed, not measured: it uses the PBE geometry in Alexandria and CuKα.
Neutral-atom scattering factors, no anomalous dispersion.

Peak list (10 most intense, 10 to 80 degrees two-theta, by angle)
2θ/deg  I_rel  hkl
27.3  53  1 1 2
27.9  60  1 -1 0
28.0  20  0 0 2
29.1  17  0 2 0
38.1  100  2 0 2
39.6  41  1 0 3
40.7  34  1 -2 1
40.8  57  0 2 2
56.4  20  2 2 4
66.9  14  4 2 2

Crystal structure
Cell lengths 5.5980, 6.7449, 6.9532 Å; angles 80.38, 66.27, 65.61 degrees
Space group P-1 (No. 2)
Unique sites:
1 Ac 0.2482 0.2859 0.2191 x2
2 Zn 0.5000 0.5000 0.5000 x1
3 Cd 0.0000 0.0000 0.0000 x1
4 Pd 0.2434 0.2687 0.7490 x2
5 Pd 0.2520 0.9182 0.5773 x2
6 Pd 0.2600 0.7314 0.2515 x2